Simulated PXRD pattern of Li2La2Cu15 for CuKα, from a DFT-relaxed cell (PBE, Alexandria).

Most intense lines, 2θ from 15° to 90°, in order of rising 2θ:
2θ (°)  Rel. int.
29.39  29.1
35.74  21.1
41.51  39.8
41.78  100.0
42.57  43.5
46.92  28.5
60.97  25.1
68.34  17.1

Cell and atoms:
a b c (Å): 6.579 6.579 6.579
angles (deg): 82.81 82.81 82.81
Fractional coordinates of all 19 atoms:
Li 0.092 0.092 0.092
Li 0.908 0.908 0.908
La 0.345 0.345 0.345
La 0.655 0.655 0.655
Cu 0.000 0.000 0.500
Cu 0.000 0.297 0.703
Cu 0.000 0.500 0.000
Cu 0.000 0.703 0.297
Cu 0.156 0.659 0.659
Cu 0.297 0.000 0.703
Cu 0.297 0.703 0.000
Cu 0.341 0.341 0.844
Cu 0.341 0.844 0.341
Cu 0.500 0.000 0.000
Cu 0.659 0.156 0.659
Cu 0.659 0.659 0.156
Cu 0.703 0.000 0.297
Cu 0.703 0.297 0.000
Cu 0.844 0.341 0.341

Simulated PXRD pattern of Li5La2Cu12 for CuKα, from a DFT-relaxed cell (PBE, Alexandria).

Most intense lines, 2θ from 15° to 90°, in order of rising 2θ:
2θ (°)  Rel. int.
27.32  27.0
31.99  26.2
35.51  34.0
36.69  42.1
41.23  25.3
41.49  100.0
42.26  35.1
67.83  19.1

Cell and atoms:
a b c (Å): 6.623 6.623 6.623
angles (deg): 82.77 82.77 82.77
Fractional coordinates of all 19 atoms:
Li 0.000 0.000 0.500
Li 0.000 0.500 0.000
Li 0.090 0.090 0.090
Li 0.500 0.000 0.000
Li 0.910 0.910 0.910
La 0.352 0.352 0.352
La 0.648 0.648 0.648
Cu 0.000 0.299 0.701
Cu 0.000 0.701 0.299
Cu 0.158 0.659 0.659
Cu 0.299 0.000 0.701
Cu 0.299 0.701 0.000
Cu 0.341 0.341 0.842
Cu 0.341 0.842 0.341
Cu 0.659 0.158 0.659
Cu 0.659 0.659 0.158
Cu 0.701 0.000 0.299
Cu 0.701 0.299 0.000
Cu 0.842 0.341 0.341

Simulated PXRD pattern of Li2LaCu9 for CuKα, from a DFT-relaxed cell (PBE, Alexandria).

Most intense lines, 2θ from 15° to 90°, in order of rising 2θ:
2θ (°)  Rel. int.
25.06  36.5
37.26  24.1
41.41  28.6
41.93  23.0
42.12  100.0
44.68  33.2
45.43  23.4
68.30  21.9

Cell and atoms:
a b c (Å): 8.621 8.621 8.621
angles (deg): 34.10 34.10 34.10
Fractional coordinates of all 12 atoms:
Li 0.149 0.149 0.149
Li 0.851 0.851 0.851
La 0.000 0.000 0.000
Cu 0.084 0.586 0.586
Cu 0.333 0.333 0.333
Cu 0.414 0.414 0.916
Cu 0.414 0.916 0.414
Cu 0.500 0.500 0.500
Cu 0.586 0.084 0.586
Cu 0.586 0.586 0.084
Cu 0.667 0.667 0.667
Cu 0.916 0.414 0.414

Simulated PXRD pattern of Li3La2Cu12Ni for CuKα, from a DFT-relaxed cell (PBE, Alexandria).

Most intense lines, 2θ from 15° to 90°, in order of rising 2θ:
2θ (°)  Rel. int.
27.65  27.7
31.86  56.4
35.43  50.1
35.73  49.7
37.48  100.0
38.22  35.7
43.38  39.5
57.62  28.5

Cell and atoms:
a b c (Å): 10.315 10.315 10.315
angles (deg): 33.04 33.04 33.04
Fractional coordinates of all 18 atoms:
Li 0.000 0.500 0.500
Li 0.500 0.000 0.500
Li 0.500 0.500 0.000
La 0.146 0.146 0.146
La 0.854 0.854 0.854
Cu 0.086 0.086 0.678
Cu 0.086 0.678 0.086
Cu 0.145 0.576 0.576
Cu 0.322 0.914 0.914
Cu 0.424 0.424 0.855
Cu 0.424 0.855 0.424
Cu 0.576 0.145 0.576
Cu 0.576 0.576 0.145
Cu 0.678 0.086 0.086
Cu 0.855 0.424 0.424
Cu 0.914 0.322 0.914
Cu 0.914 0.914 0.322
Ni 0.500 0.500 0.500

Simulated PXRD pattern of LiLa2Cu6Ni for CuKα, from a DFT-relaxed cell (PBE, Alexandria).

Most intense lines, 2θ from 15° to 90°, in order of rising 2θ:
2θ (°)  Rel. int.
27.47  100.0
33.15  97.0
33.45  59.0
34.93  81.9
37.23  64.2
42.85  55.2
42.99  55.4
43.18  52.7

Cell and atoms:
a b c (Å): 6.069 6.128 6.147
angles (deg): 63.97 64.31 64.18
Fractional coordinates of all 10 atoms:
Li 0.000 0.000 0.000
La 0.317 0.319 0.318
La 0.683 0.681 0.682
Cu 0.111 0.657 0.816
Cu 0.184 0.892 0.344
Cu 0.343 0.185 0.893
Cu 0.657 0.815 0.107
Cu 0.816 0.108 0.656
Cu 0.889 0.343 0.184
Ni 0.500 0.500 0.500

Simulated PXRD pattern of LiLa8Cu3O16 for CuKα, from a DFT-relaxed cell (PBE, Alexandria).

Most intense lines, 2θ from 15° to 90°, in order of rising 2θ:
2θ (°)  Rel. int.
24.21  65.2
27.31  30.4
31.00  100.0
31.18  95.8
32.55  64.2
33.58  63.7
43.81  31.8
47.46  63.0

Cell and atoms:
a b c (Å): 7.055 7.666 7.667
angles (deg): 91.74 104.95 105.59
Fractional coordinates of all 28 atoms:
Li 0.000 0.000 0.000
La 0.275 0.310 0.828
La 0.275 0.814 0.322
La 0.278 0.829 0.816
La 0.281 0.323 0.310
La 0.719 0.677 0.690
La 0.722 0.171 0.184
La 0.725 0.186 0.678
La 0.725 0.690 0.172
Cu 0.000 0.000 0.500
Cu 0.000 0.500 0.000
Cu 0.000 0.500 0.500
O 0.020 0.505 0.758
O 0.020 0.749 0.005
O 0.022 0.005 0.262
O 0.023 0.253 0.505
O 0.361 0.618 0.565
O 0.363 0.114 0.065
O 0.377 0.064 0.628
O 0.377 0.562 0.125
O 0.623 0.438 0.875
O 0.623 0.936 0.372
O 0.637 0.886 0.935
O 0.639 0.382 0.435
O 0.977 0.747 0.495
O 0.978 0.995 0.738
O 0.980 0.251 0.995
O 0.980 0.495 0.242

Simulated PXRD pattern of LiLa8Cu3O16 for CuKα, from a DFT-relaxed cell (PBE, Alexandria).

Most intense lines, 2θ from 15° to 90°, in order of rising 2θ:
2θ (°)  Rel. int.
24.40  43.9
27.16  21.3
31.08  32.6
31.22  100.0
33.38  88.8
43.44  22.9
43.65  22.3
47.92  44.3

Cell and atoms:
a b c (Å): 7.082 7.596 8.481
angles (deg): 63.52 69.10 74.84
Fractional coordinates of all 28 atoms:
Li 0.000 0.000 0.000
La 0.272 0.597 0.182
La 0.274 0.850 0.679
La 0.280 0.334 0.689
La 0.282 0.091 0.175
La 0.718 0.909 0.825
La 0.720 0.666 0.311
La 0.726 0.150 0.321
La 0.728 0.403 0.818
Cu 0.000 0.500 0.000
Cu 0.002 0.750 0.499
Cu 0.998 0.250 0.501
O 0.000 0.000 0.500
O 0.000 0.500 0.500
O 0.002 0.127 0.747
O 0.006 0.625 0.748
O 0.019 0.742 0.995
O 0.357 0.972 0.908
O 0.367 0.706 0.410
O 0.371 0.200 0.399
O 0.376 0.423 0.915
O 0.624 0.577 0.085
O 0.629 0.800 0.601
O 0.633 0.294 0.590
O 0.643 0.028 0.092
O 0.981 0.258 0.005
O 0.994 0.375 0.252
O 0.998 0.873 0.253

Simulated PXRD pattern of LiLa8Cu3O16 for CuKα, from a DFT-relaxed cell (PBE, Alexandria).

Most intense lines, 2θ from 15° to 90°, in order of rising 2θ:
2θ (°)  Rel. int.
22.42  39.9
30.15  70.9
30.29  73.0
30.51  78.1
30.64  100.0
30.72  75.9
43.30  36.8
54.06  39.8

Cell and atoms:
a b c (Å): 6.920 8.359 9.029
angles (deg): 103.12 111.43 107.78
Fractional coordinates of all 28 atoms:
Li 0.000 0.000 0.000
La 0.013 0.871 0.320
La 0.024 0.350 0.320
La 0.461 0.945 0.169
La 0.483 0.427 0.167
La 0.505 0.106 0.809
La 0.512 0.616 0.827
La 0.963 0.682 0.657
La 0.966 0.190 0.667
Cu 0.488 0.289 0.486
Cu 0.517 0.773 0.517
Cu 0.964 0.545 0.967
O 0.012 0.783 0.030
O 0.065 0.390 0.056
O 0.103 0.961 0.616
O 0.121 0.458 0.619
O 0.257 0.155 0.256
O 0.356 0.836 0.864
O 0.369 0.331 0.865
O 0.459 0.961 0.468
O 0.470 0.528 0.453
O 0.596 0.710 0.124
O 0.618 0.204 0.112
O 0.721 0.386 0.716
O 0.742 0.848 0.750
O 0.864 0.088 0.367
O 0.891 0.587 0.362
O 0.939 0.190 0.941

Simulated PXRD pattern of LiLa2Cu2O6 for CuKα, from a DFT-relaxed cell (PBE, Alexandria).

Most intense lines, 2θ from 15° to 90°, in order of rising 2θ:
2θ (°)  Rel. int.
16.60  44.5
21.19  29.3
31.49  100.0
33.36  71.3
35.80  30.4
38.26  25.7
46.53  36.1
57.27  36.0

Cell and atoms:
a b c (Å): 6.269 6.269 6.269
angles (deg): 53.90 53.90 53.90
Fractional coordinates of all 11 atoms:
Li 0.000 0.000 0.000
La 0.211 0.211 0.211
La 0.789 0.789 0.789
Cu 0.419 0.419 0.419
Cu 0.581 0.581 0.581
O 0.206 0.757 0.757
O 0.243 0.243 0.794
O 0.243 0.794 0.243
O 0.757 0.206 0.757
O 0.757 0.757 0.206
O 0.794 0.243 0.243

Simulated PXRD pattern of LiLa8Cu3O16 for CuKα, from a DFT-relaxed cell (PBE, Alexandria).

Most intense lines, 2θ from 15° to 90°, in order of rising 2θ:
2θ (°)  Rel. int.
23.20  24.6
30.76  100.0
31.44  32.4
42.81  22.8
45.06  26.7
54.26  14.7
55.55  36.8
74.55  13.4

Cell and atoms:
a b c (Å): 6.916 8.048 8.958
angles (deg): 102.99 112.34 106.91
Fractional coordinates of all 28 atoms:
Li 0.000 0.000 0.000
La 0.025 0.838 0.324
La 0.026 0.337 0.324
La 0.472 0.912 0.175
La 0.473 0.411 0.175
La 0.527 0.589 0.825
La 0.528 0.088 0.825
La 0.974 0.663 0.676
La 0.975 0.162 0.676
Cu 0.000 0.500 0.000
Cu 0.499 0.750 0.499
Cu 0.501 0.250 0.501
O 0.000 0.265 0.000
O 0.000 0.735 0.000
O 0.126 0.438 0.625
O 0.126 0.938 0.625
O 0.254 0.627 0.255
O 0.264 0.132 0.264
O 0.376 0.312 0.875
O 0.376 0.814 0.876
O 0.500 0.000 0.500
O 0.500 0.500 0.500
O 0.624 0.186 0.124
O 0.624 0.688 0.125
O 0.736 0.868 0.736
O 0.746 0.373 0.745
O 0.874 0.062 0.375
O 0.874 0.562 0.375

Simulated PXRD pattern of LiLaCuRu for CuKα, from a DFT-relaxed cell (PBE, Alexandria).

Most intense lines, 2θ from 15° to 90°, in order of rising 2θ:
2θ (°)  Rel. int.
23.32  35.8
26.99  12.4
38.54  100.0
45.53  17.8
55.64  16.8
61.14  7.5
69.73  33.3
82.61  10.4

Cell and atoms:
a b c (Å): 4.672 4.672 4.672
angles (deg): 60.00 60.00 60.00
Fractional coordinates of all 4 atoms:
Li 0.000 0.000 0.000
La 0.250 0.250 0.250
Cu 0.750 0.750 0.750
Ru 0.500 0.500 0.500